1.
Computed powder diffraction line list
Compound: Mn4CuO8
Radiation: Cu Kα (weighted mean of Kα1 and Kα2)
Structure: a cell relaxed with PBE+U
Lines closer than 0.1° are merged.

Atomic structure:
a = 6.0107 Å, b = 6.0107 Å, c = 6.0162 Å
α = 119.04°, β = 119.04°, γ = 57.87°
Fractional positions:
Mn1 0.0000 0.0000 0.0000
Mn2 0.0000 0.5000 0.0000
Mn3 0.5000 0.0000 0.0000
Mn4 0.5000 0.5000 0.5000
Cu1 0.5000 0.5000 0.0000
O1 0.2221 0.7202 0.1980
O2 0.2575 0.2575 0.2205
O3 0.2626 0.2626 0.8015
O4 0.2798 0.7779 0.8020
O5 0.7202 0.2221 0.1980
O6 0.7374 0.7374 0.1985
O7 0.7425 0.7425 0.7795
O8 0.7779 0.2798 0.8020

Most intense lines, 10° ≤ 2θ ≤ 80°, by angle:
Position (°2θ)	d/Å	I_rel
17.72	5.006	100
18.31	4.845	20
34.43	2.605	13
35.88	2.503	30
37.12	2.422	17
41.25	2.189	35
43.28	2.091	63
56.56	1.627	10
60.83	1.523	17
61.81	1.501	18
64.04	1.454	9
79.06	1.211	12

=====

2.
Computed powder diffraction line list
Compound: KLaZrCrO6
Radiation: Cu Kα (weighted mean of Kα1 and Kα2)
Structure: a cell relaxed with PBE+U
Lines closer than 0.1° are merged.

Atomic structure:
a = 5.6939 Å, b = 5.6939 Å, c = 5.6939 Å
α = 60.00°, β = 60.00°, γ = 60.00°
Fractional positions:
K1 0.0000 0.0000 0.0000
La1 0.5000 0.5000 0.5000
Zr1 0.7500 0.7500 0.7500
Cr1 0.2500 0.2500 0.2500
O1 0.0089 0.0089 0.4911
O2 0.0089 0.4911 0.0089
O3 0.0089 0.4911 0.4911
O4 0.4911 0.0089 0.0089
O5 0.4911 0.0089 0.4911
O6 0.4911 0.4911 0.0089

Most intense lines, 10° ≤ 2θ ≤ 80°, by angle:
Position (°2θ)	d/Å	I_rel
19.09	4.649	27
31.42	2.847	100
37.03	2.428	17
38.74	2.325	7
45.03	2.013	37
49.33	1.847	8
55.94	1.644	38
59.67	1.550	6
65.58	1.423	21
69.00	1.361	6
74.53	1.273	16
77.78	1.228	2

=====

3.
Computed powder diffraction line list
Compound: MgBi4W2O12
Radiation: Cu Kα (weighted mean of Kα1 and Kα2)
Structure: a cell relaxed with PBE+U
Lines closer than 0.1° are merged.

Atomic structure:
a = 3.9097 Å, b = 8.0401 Å, c = 8.9312 Å
α = 102.11°, β = 102.42°, γ = 90.02°
Fractional positions:
Mg1 0.0000 0.0000 0.0000
Bi1 0.1797 0.0734 0.3524
Bi2 0.1807 0.5984 0.3556
Bi3 0.8193 0.4016 0.6444
Bi4 0.8203 0.9266 0.6476
W1 0.4842 0.2890 0.9692
W2 0.5158 0.7110 0.0308
O1 0.0179 0.7518 0.0351
O2 0.2414 0.3690 0.4802
O3 0.2522 0.8761 0.5047
O4 0.3792 0.1647 0.7547
O5 0.4273 0.5035 0.8527
O6 0.4438 0.8650 0.8835
O7 0.5562 0.1350 0.1165
O8 0.5727 0.4965 0.1473
O9 0.6208 0.8353 0.2453
O10 0.7478 0.1239 0.4953
O11 0.7586 0.6310 0.5198
O12 0.9821 0.2482 0.9649

Most intense lines, 10° ≤ 2θ ≤ 80°, by angle:
Position (°2θ)	d/Å	I_rel
26.97	3.306	91
27.39	3.256	68
27.65	3.226	81
27.75	3.214	81
31.51	2.840	48
31.93	2.803	100
34.83	2.576	18
45.13	2.009	48
45.27	2.003	30
46.46	1.955	34
53.53	1.712	20
54.49	1.684	18

=====

4.
Computed powder diffraction line list
Compound: Li2MnP2O7
Radiation: Cu Kα (weighted mean of Kα1 and Kα2)
Structure: a cell relaxed with PBE+U
Lines closer than 0.1° are merged.

Atomic structure:
a = 7.3499 Å, b = 8.4621 Å, c = 9.9780 Å
α = 90.00°, β = 110.62°, γ = 90.00°
Fractional positions:
Li1 0.0535 0.0000 0.3352
Li2 0.2349 0.6957 0.8843
Li3 0.3310 0.7181 0.3754
Li4 0.4084 0.9941 0.7820
Li5 0.5916 0.4941 0.2180
Li6 0.6690 0.2181 0.6246
Li7 0.7651 0.1957 0.1157
Li8 0.9465 0.5000 0.6648
Mn1 0.0167 0.0686 0.7667
Mn2 0.4811 0.0797 0.2507
Mn3 0.5189 0.5797 0.7493
Mn4 0.9833 0.5686 0.2333
P1 0.0741 0.8845 0.0759
P2 0.0767 0.7745 0.5718
P3 0.3452 0.3432 0.4581
P4 0.3560 0.3285 0.9560
P5 0.6440 0.8285 0.0440
P6 0.6548 0.8432 0.5419
P7 0.9233 0.2745 0.4282
P8 0.9259 0.3845 0.9241
O1 0.0812 0.7751 0.4192
O2 0.0901 0.8819 0.9267
O3 0.1374 0.7251 0.1506
O4 0.1468 0.2408 0.4384
O5 0.1469 0.9354 0.6436
O6 0.1533 0.4194 0.9443
O7 0.1700 0.0231 0.1750
O8 0.1757 0.6356 0.6704
O9 0.2808 0.4884 0.3619
O10 0.3022 0.1814 0.8613
O11 0.4479 0.3731 0.6180
O12 0.4598 0.4602 0.9094
O13 0.4708 0.2944 0.1158
O14 0.4733 0.2276 0.4143
O15 0.5267 0.7276 0.5857
O16 0.5292 0.7944 0.8842
O17 0.5402 0.9602 0.0906
O18 0.5521 0.8731 0.3820
O19 0.6978 0.6814 0.1387
O20 0.7192 0.9884 0.6381
O21 0.8243 0.1356 0.3296
O22 0.8300 0.5231 0.8250
O23 0.8467 0.9194 0.0557
O24 0.8531 0.4354 0.3564
O25 0.8532 0.7408 0.5616
O26 0.8626 0.2251 0.8494
O27 0.9099 0.3819 0.0733
O28 0.9188 0.2751 0.5808

Most intense lines, 10° ≤ 2θ ≤ 80°, by angle:
Position (°2θ)	d/Å	I_rel
16.73	5.300	98
21.31	4.169	24
21.59	4.116	27
21.74	4.088	41
25.90	3.440	20
28.00	3.186	57
28.29	3.154	20
28.47	3.135	100
28.99	3.080	30
33.83	2.650	15
37.53	2.397	14
38.48	2.339	17

=====

5.
Computed powder diffraction line list
Compound: Fe3Sb2Br4O4
Radiation: Cu Kα (weighted mean of Kα1 and Kα2)
Structure: a cell relaxed with PBE+U
Lines closer than 0.1° are merged.

Atomic structure:
a = 7.2667 Å, b = 14.9329 Å, c = 6.4212 Å
α = 90.00°, β = 116.21°, γ = 90.00°
Fractional positions:
Fe1 0.0000 0.0000 0.0000
Fe2 0.0000 0.5000 0.5000
Fe3 0.0153 0.2500 0.2575
Fe4 0.0153 0.2500 0.7575
Fe5 0.9847 0.7500 0.2425
Fe6 0.9847 0.7500 0.7425
Sb1 0.2150 0.0566 0.6071
Sb2 0.2150 0.4434 0.1071
Sb3 0.7850 0.5566 0.8929
Sb4 0.7850 0.9434 0.3929
Br1 0.2389 0.6607 0.6193
Br2 0.2389 0.8393 0.1193
Br3 0.3204 0.1154 0.1605
Br4 0.3204 0.3846 0.6605
Br5 0.6796 0.6154 0.3395
Br6 0.6796 0.8846 0.8395
Br7 0.7611 0.1607 0.8807
Br8 0.7611 0.3393 0.3807
O1 0.9998 0.0000 0.3064
O2 0.0002 0.0000 0.6936
O3 0.0002 0.5000 0.1936
O4 0.9998 0.5000 0.8064
O5 0.0809 0.1756 0.5403
O6 0.0809 0.3244 0.0403
O7 0.9191 0.6756 0.9597
O8 0.9191 0.8244 0.4597

Most intense lines, 10° ≤ 2θ ≤ 80°, by angle:
Position (°2θ)	d/Å	I_rel
13.58	6.519	77
22.47	3.956	70
23.62	3.766	46
27.52	3.241	100
27.79	3.211	64
30.30	2.949	26
30.65	2.917	74
32.99	2.715	30
36.03	2.493	48
36.60	2.455	31
39.41	2.287	75
41.55	2.174	26

=====

6.
Computed powder diffraction line list
Compound: ZnNi3O7
Radiation: Cu Kα (weighted mean of Kα1 and Kα2)
Structure: a cell relaxed with PBE+U
Lines closer than 0.1° are merged.

Atomic structure:
a = 10.2709 Å, b = 10.0944 Å, c = 5.2780 Å
α = 90.00°, β = 90.00°, γ = 90.00°
Fractional positions:
Zn1 0.0801 0.2500 0.1435
Zn2 0.4199 0.7500 0.6435
Zn3 0.5801 0.2500 0.3565
Zn4 0.9199 0.7500 0.8565
Ni1 0.1951 0.5250 0.7060
Ni2 0.1951 0.9750 0.7060
Ni3 0.2434 0.7500 0.1901
Ni4 0.2566 0.2500 0.6901
Ni5 0.3049 0.0250 0.2060
Ni6 0.3049 0.4750 0.2060
Ni7 0.6951 0.5250 0.7940
Ni8 0.6951 0.9750 0.7940
Ni9 0.7434 0.7500 0.3099
Ni10 0.7566 0.2500 0.8099
Ni11 0.8049 0.0250 0.2940
Ni12 0.8049 0.4750 0.2940
O1 0.0349 0.6005 0.7505
O2 0.0349 0.8995 0.7505
O3 0.0590 0.7500 0.1442
O4 0.2059 0.1202 0.4587
O5 0.2059 0.3798 0.4587
O6 0.2130 0.1233 0.9437
O7 0.2130 0.3767 0.9437
O8 0.2870 0.6233 0.4437
O9 0.2870 0.8767 0.4437
O10 0.2941 0.6202 0.9587
O11 0.2941 0.8798 0.9587
O12 0.4410 0.2500 0.6442
O13 0.4651 0.1005 0.2505
O14 0.4651 0.3995 0.2505
O15 0.5349 0.6005 0.7495
O16 0.5349 0.8995 0.7495
O17 0.5590 0.7500 0.3558
O18 0.7059 0.1202 0.0413
O19 0.7059 0.3798 0.0413
O20 0.7130 0.1233 0.5563
O21 0.7130 0.3767 0.5563
O22 0.7870 0.6233 0.0563
O23 0.7870 0.8767 0.0563
O24 0.7941 0.6202 0.5413
O25 0.7941 0.8798 0.5413
O26 0.9410 0.2500 0.8558
O27 0.9651 0.1005 0.2495
O28 0.9651 0.3995 0.2495

Most intense lines, 10° ≤ 2θ ≤ 80°, by angle:
Position (°2θ)	d/Å	I_rel
17.27	5.135	100
24.73	3.600	22
25.76	3.458	53
25.92	3.437	27
30.05	2.974	97
31.53	2.837	24
33.97	2.639	22
36.17	2.484	27
39.01	2.309	28
50.85	1.796	30
53.30	1.719	25
53.81	1.704	25

=====

7.
Computed powder diffraction line list
Compound: MgFe6O10F2
Radiation: Cu Kα (weighted mean of Kα1 and Kα2)
Structure: a cell relaxed with PBE+U
Lines closer than 0.1° are merged.

Atomic structure:
a = 5.7692 Å, b = 5.9155 Å, c = 7.5473 Å
α = 108.03°, β = 97.31°, γ = 112.96°
Fractional positions:
Mg1 0.0000 0.0000 0.0000
Fe1 0.9999 0.9980 0.4992
Fe2 0.0007 0.4996 0.9990
Fe3 0.3433 0.5153 0.3422
Fe4 0.3705 0.9315 0.7858
Fe5 0.6304 0.0693 0.2151
Fe6 0.6560 0.4844 0.6581
O1 0.0230 0.1698 0.3059
O2 0.2477 0.3805 0.0683
O3 0.2787 0.8536 0.0182
O4 0.3704 0.1560 0.6418
O5 0.4157 0.6461 0.6189
O6 0.5836 0.3537 0.3815
O7 0.6294 0.8437 0.3585
O8 0.7221 0.1469 0.9823
O9 0.7530 0.6192 0.9318
O10 0.9769 0.8290 0.6940
F1 0.0687 0.6828 0.3011
F2 0.9309 0.3159 0.6988

Most intense lines, 10° ≤ 2θ ≤ 80°, by angle:
Position (°2θ)	d/Å	I_rel
23.62	3.767	100
27.67	3.224	88
35.00	2.564	26
35.12	2.555	27
35.37	2.538	23
35.86	2.504	24
36.08	2.489	25
49.25	1.850	18
50.98	1.791	18
53.99	1.698	18
57.14	1.612	21
62.69	1.482	19

=====

8.
Computed powder diffraction line list
Compound: Li2Cr3WO8
Radiation: Cu Kα (weighted mean of Kα1 and Kα2)
Structure: a cell relaxed with PBE+U
Lines closer than 0.1° are merged.

Atomic structure:
a = 5.9630 Å, b = 5.9630 Å, c = 9.6367 Å
α = 90.00°, β = 90.00°, γ = 120.00°
Fractional positions:
Li1 0.0000 0.0000 0.0000
Li2 0.0000 0.0000 0.5000
Li3 0.3333 0.6667 0.4096
Li4 0.6667 0.3333 0.9096
Cr1 0.1694 0.3387 0.7201
Cr2 0.1694 0.8306 0.7201
Cr3 0.3387 0.1694 0.2201
Cr4 0.6613 0.8306 0.7201
Cr5 0.8306 0.1694 0.2201
Cr6 0.8306 0.6613 0.2201
W1 0.3333 0.6667 0.9950
W2 0.6667 0.3333 0.4950
O1 0.0000 0.0000 0.3149
O2 0.0000 0.0000 0.8149
O3 0.0389 0.5195 0.8507
O4 0.1658 0.3316 0.1035
O5 0.1658 0.8342 0.1035
O6 0.3316 0.1658 0.6035
O7 0.3333 0.6667 0.6155
O8 0.4805 0.5195 0.8507
O9 0.4805 0.9611 0.8507
O10 0.5195 0.0389 0.3507
O11 0.5195 0.4805 0.3507
O12 0.6667 0.3333 0.1155
O13 0.6684 0.8342 0.1035
O14 0.8342 0.1658 0.6035
O15 0.8342 0.6684 0.6035
O16 0.9611 0.4805 0.3507

Most intense lines, 10° ≤ 2θ ≤ 80°, by angle:
Position (°2θ)	d/Å	I_rel
19.50	4.552	100
25.28	3.523	28
29.97	2.982	13
32.84	2.728	35
35.40	2.535	47
36.01	2.494	23
45.05	2.012	18
47.53	1.913	16
55.05	1.668	19
56.79	1.621	12
59.89	1.545	19
62.28	1.491	16